# ZnH6
Theoretical X-ray powder pattern, CuKα. Input: the PBE geometry in the Materials Project.
Peak positions follow from Bragg's law for the DFT cell and can differ from measured ones.

Structure:
```
data_ZnH6
_chemical_formula_sum 'Zn4 H24'
_cell_length_a 10.7116
_cell_length_b 5.2556
_cell_length_c 8.8086
_cell_angle_alpha 90.00
_cell_angle_beta 90.00
_cell_angle_gamma 90.00
_space_group_name_H-M_alt 'P n a 21'
_space_group_IT_number 33
_space_group_name_Hall 'P 2c -2n'
loop_
_atom_site_label
_atom_site_fract_x
_atom_site_fract_y
_atom_site_fract_z
_atom_site_occupancy
Zn1 0.0041 0.2114 0.0000 1
H1 0.9997 0.2646 0.8297 1
H2 0.0150 0.1049 0.1609 1
H3 0.0936 0.9917 0.9695 1
H4 0.0955 0.5933 0.5431 1
H5 0.1657 0.5148 0.9947 1
H6 0.1726 0.4748 0.0769 1
```

Principal peaks in the range 2θ = 10–90°, sorted by position:
hkl  Position (°2θ)  I/Imax
2 0 0  16.55  801
0 1 1  19.67  996
0 0 2  20.16  526
2 1 1  25.81  1000
2 0 2  26.20  461
0 1 3  35.01  205
2 2 0  38.15  148
2 1 3  38.95  301
4 1 1  39.11  317
4 0 2  39.38  145
2 2 2  43.52  191
4 1 3  49.21  149



# LaCe3B24
Theoretical X-ray powder pattern, CuKα. Input: the PBE geometry in the Materials Project.
Peak positions follow from Bragg's law for the DFT cell and can differ from measured ones.

Structure:
```
data_LaCe3B24
_chemical_formula_sum 'La1 Ce3 B24'
_cell_length_a 4.1302
_cell_length_b 5.8371
_cell_length_c 11.6818
_cell_angle_alpha 90.00
_cell_angle_beta 90.00
_cell_angle_gamma 90.00
_space_group_name_H-M_alt 'P m m m'
_space_group_IT_number 47
_space_group_name_Hall '-P 2 2'
loop_
_atom_site_label
_atom_site_fract_x
_atom_site_fract_y
_atom_site_fract_z
_atom_site_occupancy
La1 0.0000 0.0000 0.0000 1
Ce1 0.0000 0.0000 0.5000 1
Ce2 0.0000 0.5000 0.2508 1
B1 0.1988 0.0000 0.2502 1
B2 0.1992 0.5000 0.0000 1
B3 0.1987 0.5000 0.5000 1
B4 0.5000 0.1511 0.1752 1
B5 0.5000 0.1508 0.3253 1
B6 0.5000 0.3493 0.4246 1
B7 0.5000 0.3502 0.0756 1
```

Principal peaks in the range 2θ = 10–90°, sorted by position:
hkl  Position (°2θ)  I/Imax
1 0 0  21.52  640
1 1 2  30.62  1000
1 2 0  37.73  425
2 0 0  43.85  216
2 1 2  49.35  494
2 2 0  54.43  267
2 2 4  63.75  99
2 3 2  68.12  278
3 1 2  72.37  199
3 2 0  76.52  126
3 2 4  84.62  83
3 3 2  88.62  176



# Ba9La2S12
Theoretical X-ray powder pattern, CuKα. Input: the PBE geometry in the Materials Project.
Peak positions follow from Bragg's law for the DFT cell and can differ from measured ones.

Structure:
```
data_Ba9La2S12
_chemical_formula_sum 'Ba18 La4 S24'
_cell_length_a 7.8019
_cell_length_b 13.5130
_cell_length_c 14.8165
_cell_angle_alpha 90.00
_cell_angle_beta 100.11
_cell_angle_gamma 90.00
_space_group_name_H-M_alt 'C 1 2/m 1'
_space_group_IT_number 12
_space_group_name_Hall '-C 2y'
loop_
_atom_site_label
_atom_site_fract_x
_atom_site_fract_y
_atom_site_fract_z
_atom_site_occupancy
Ba1 0.0000 0.0000 0.0000 1
Ba2 0.0000 0.3312 0.0000 1
Ba3 0.2414 0.3388 0.7407 1
Ba4 0.2421 0.5000 0.2592 1
La1 0.0000 0.1667 0.5000 1
S1 0.0945 0.0000 0.3882 1
S2 0.1232 0.1665 0.8692 1
S3 0.1242 0.5000 0.8733 1
S4 0.1468 0.3159 0.3882 1
```

Principal peaks in the range 2θ = 10–90°, sorted by position:
hkl  Position (°2θ)  I/Imax
1 3 1  24.22  468
0 0 4  24.41  148
2 0 2  28.10  1000
0 6 0  40.03  369
1 3 5  40.27  350
4 0 0  47.34  86
3 3 3  47.45  163
2 6 2  49.62  190
4 0 4  58.09  112
5 3 1  65.58  158
3 3 7  65.91  144
4 6 4  72.88  111



# Na3ScSiSnP2O12
Theoretical X-ray powder pattern, CuKα. Input: the PBE geometry in the Materials Project.
Peak positions follow from Bragg's law for the DFT cell and can differ from measured ones.

Structure:
```
data_Na3ScSiSnP2O12
_chemical_formula_sum 'Na12 Sc4 Si4 Sn4 P8 O48'
_cell_length_a 15.6793
_cell_length_b 9.0721
_cell_length_c 9.0818
_cell_angle_alpha 90.00
_cell_angle_beta 125.17
_cell_angle_gamma 90.00
_space_group_name_H-M_alt 'C 1 c 1'
_space_group_IT_number 9
_space_group_name_Hall 'C -2yc'
loop_
_atom_site_label
_atom_site_fract_x
_atom_site_fract_y
_atom_site_fract_z
_atom_site_occupancy
Na1 0.0000 0.0691 0.0000 1
Na2 0.0683 0.2751 0.7088 1
Na3 0.3230 0.1060 0.9738 1
Sc1 0.4220 0.2442 0.7748 1
Si1 0.4647 0.1068 0.4579 1
Sn1 0.2147 0.2567 0.1555 1
P1 0.1696 0.0982 0.4675 1
P2 0.3134 0.4546 0.9654 1
O1 0.0620 0.3093 0.9696 1
O2 0.0731 0.1538 0.4563 1
O3 0.1654 0.1310 0.2926 1
O4 0.1659 0.0753 0.9678 1
O5 0.2342 0.3473 0.9616 1
O6 0.2464 0.4502 0.2918 1
O7 0.2694 0.1566 0.6362 1
O8 0.3600 0.1744 0.2680 1
O9 0.3754 0.4505 0.6352 1
O10 0.3922 0.3590 0.9563 1
O11 0.4569 0.1599 0.6195 1
O12 0.4679 0.0720 0.9552 1
```

Principal peaks in the range 2θ = 10–90°, sorted by position:
hkl  Position (°2θ)  I/Imax
1 1 -1  13.80  484
1 1 1  19.57  1000
3 1 -2  22.99  380
2 2 -2  27.81  313
3 1 1  31.15  869
3 3 -1  34.25  499
4 2 -4  44.65  250
0 4 2  46.93  167
6 2 -4  47.01  237
1 3 3  51.30  171
3 5 -1  53.47  246
9 1 -5  59.43  212



# CeSe2
Theoretical X-ray powder pattern, CuKα. Input: the PBE geometry in the Materials Project.
Peak positions follow from Bragg's law for the DFT cell and can differ from measured ones.

Structure:
```
data_CeSe2
_chemical_formula_sum 'Ce8 Se16'
_cell_length_a 7.1165
_cell_length_b 13.4295
_cell_length_c 7.1996
_cell_angle_alpha 90.00
_cell_angle_beta 90.00
_cell_angle_gamma 90.00
_space_group_name_H-M_alt 'P b c a'
_space_group_IT_number 61
_space_group_name_Hall '-P 2ac 2ab'
loop_
_atom_site_label
_atom_site_fract_x
_atom_site_fract_y
_atom_site_fract_z
_atom_site_occupancy
Ce1 0.1473 0.1457 0.0564 1
Se1 0.0919 0.7101 0.7525 1
Se2 0.1830 0.5330 0.3437 1
```

Principal peaks in the range 2θ = 10–90°, sorted by position:
hkl  Position (°2θ)  I/Imax
1 1 1  18.74  876
1 2 1  21.99  1000
1 3 1  26.58  295
1 2 2  30.86  372
1 4 1  31.99  366
2 3 1  34.53  777
2 1 2  36.12  945
0 4 2  36.60  452
1 4 2  38.80  378
0 2 3  39.89  387
3 1 1  40.60  374
2 5 0  42.15  537



# TbHfO14
Theoretical X-ray powder pattern, CuKα. Input: the PBE geometry in the Materials Project.
Peak positions follow from Bragg's law for the DFT cell and can differ from measured ones.

Structure:
Cell: 11.8499 11.8499 11.8499 Å, 90.00 90.00 90.00°
Space group Fd-3m (No. 227, origin choice 2)
Asymmetric unit:
Tb1 0.1250 0.1250 0.1250 (multiplicity 8)
Hf1 0.1250 0.1250 0.6250 (multiplicity 8)
O1 0.0000 0.0000 0.0000 (multiplicity 16)
O2 0.0660 0.0660 0.4215 (multiplicity 96)

Principal peaks in the range 2θ = 10–90°, sorted by position:
hkl  Position (°2θ)  I/Imax
1 1 1  12.94  74
2 2 0  21.21  1000
4 0 0  30.17  299
4 2 2  37.17  697
4 4 0  43.19  270
6 2 0  48.59  336
6 4 2  58.27  352
8 2 2  67.01  215
8 4 0  71.17  73
6 6 4  75.22  90
8 4 4  79.20  85
10 2 0  83.13  206